[1]
# LiMn2P3O10
Simulated powder X-ray diffraction pattern, Cu Kα, 1.54184 Å. Input: DFT lattice parameters and positions (GGA+U).
Peak positions follow from Bragg's law for the DFT cell and can differ from measured ones.

Principal peaks in the range 2θ = 10–90°, by intensity:
d [Å], I (rel.), (hkl)
3.134, 100, 2 2 -2
4.513, 79, 1 1 1
6.267, 70, 1 1 -1
3.922, 53, 1 1 -2
4.160, 43, 3 1 -1
3.626, 37, 3 1 0
2.728, 32, 4 2 -1
2.688, 25, 5 1 -2
2.874, 17, 0 2 2
2.191, 16, 3 1 -4

Crystal structure
```
data_LiMn2P3O10
_chemical_formula_sum 'Li4 Mn8 P12 O40'
_cell_length_a 14.2055
_cell_length_b 8.7188
_cell_length_c 9.0779
_cell_angle_alpha 90.00
_cell_angle_beta 122.65
_cell_angle_gamma 90.00
_space_group_name_H-M_alt 'C 1 2/c 1'
_space_group_IT_number 15
loop_
_space_group_symop_operation_xyz
'x,y,z'
'-x,-y,-z'
'-x,y,-z+1/2'
'x,-y,z+1/2'
'x+1/2,y+1/2,z'
'-x+1/2,-y+1/2,-z'
'-x+1/2,y+1/2,-z+1/2'
'x+1/2,-y+1/2,z+1/2'
loop_
_atom_site_label
_atom_site_type_symbol
_atom_site_fract_x
_atom_site_fract_y
_atom_site_fract_z
_atom_site_occupancy
Li1 Li 0.0000 0.0842 0.2500 1
Mn1 Mn 0.2308 0.0205 0.0463 1
P1 P 0.0000 0.4220 0.7500 1
P2 P 0.1262 0.1997 0.6811 1
O1 O 0.0181 0.3088 0.6258 1
O2 O 0.1045 0.4880 0.3694 1
O3 O 0.1099 0.1438 0.5086 1
O4 O 0.1193 0.0636 0.7831 1
O5 O 0.2326 0.2931 0.7918 1
```

[2]
# Li3Mn3P4O16
Simulated powder X-ray diffraction pattern, Cu Kα, 1.54184 Å. Input: DFT lattice parameters and positions (GGA+U).
Peak positions follow from Bragg's law for the DFT cell and can differ from measured ones.

Principal peaks in the range 2θ = 10–90°, by intensity:
d [Å], I (rel.), (hkl)
4.376, 100, 0 0 2
2.494, 74, 4 1 -2
2.994, 67, 0 2 0
3.532, 42, 2 1 -2
3.829, 37, 2 1 0
2.471, 37, 0 2 2
3.477, 32, 3 0 -2
3.011, 30, 1 1 2
4.980, 28, 2 0 0
1.496, 23, 0 4 0

Crystal structure
```
data_Li3Mn3P4O16
_chemical_formula_sum 'Li6 Mn6 P8 O32'
_cell_length_a 11.0724
_cell_length_b 5.9870
_cell_length_c 9.7406
_cell_angle_alpha 90.00
_cell_angle_beta 115.91
_cell_angle_gamma 90.00
_space_group_name_H-M_alt 'P 1 c 1'
_space_group_IT_number 7
loop_
_space_group_symop_operation_xyz
'x,y,z'
'x,-y,z+1/2'
loop_
_atom_site_label
_atom_site_type_symbol
_atom_site_fract_x
_atom_site_fract_y
_atom_site_fract_z
_atom_site_occupancy
Li1 Li 0.0000 0.0062 0.0000 1
Li2 Li 0.5845 0.2375 0.4978 1
Li3 Li 0.8322 0.0147 0.1232 1
Mn1 Mn 0.2834 0.4967 0.8929 1
Mn2 Mn 0.3530 0.0024 0.1680 1
Mn3 Mn 0.7943 0.4933 0.3358 1
P1 P 0.1669 0.0050 0.3425 1
P2 P 0.4746 0.4907 0.7473 1
P3 P 0.6604 0.0153 0.2561 1
P4 P 0.9734 0.4870 0.6432 1
O1 O 0.0204 0.0078 0.3083 1
O2 O 0.1293 0.4998 0.2020 1
O3 O 0.1853 0.0035 0.1928 1
O4 O 0.2441 0.1957 0.9514 1
O5 O 0.2466 0.2033 0.4501 1
O6 O 0.4001 0.2915 0.7802 1
O7 O 0.4077 0.3020 0.2868 1
O8 O 0.4543 0.4917 0.5798 1
O9 O 0.5087 0.0055 0.1317 1
O10 O 0.6243 0.4960 0.8613 1
O11 O 0.6704 0.0204 0.4155 1
O12 O 0.7261 0.1884 0.7154 1
O13 O 0.7289 0.2211 0.2171 1
O14 O 0.9064 0.3133 0.0286 1
O15 O 0.9166 0.2769 0.5432 1
O16 O 0.9450 0.4985 0.7840 1
```